The following is a theoretical powder X-ray diffraction pattern of EuDy2As. It was derived from a structure optimized by DFT (GGA-PBE), using Cu Kα (λ = 1.5418 Å).
Neutral-atom scattering factors, no anomalous dispersion.

Top 12 peaks for 2θ from 15° to 90°, in order of falling intensity:
hkl 0 1 8, 2θ 35.17, intensity 100; hkl 1 0 1, 2θ 26.66, intensity 85; hkl 0 1 2, 2θ 27.12, intensity 63; hkl 1 0 10, 2θ 39.29, intensity 61; hkl 1 1 0, 2θ 46.79, intensity 56; hkl 0 0 9, 2θ 25.58, intensity 48; hkl 1 1 9, 2θ 54.08, intensity 37; hkl 0 1 5, 2θ 30.16, intensity 29; hkl 1 1 18, 2θ 72.98, intensity 29; hkl 2 0 8, 2θ 59.86, intensity 21; hkl 0 2 10, 2θ 62.71, intensity 21; hkl 1 2 8, 2θ 79.24, intensity 19

Structure:
```
data_EuDy2As
_cell_length_a 3.8829
_cell_length_b 3.8829
_cell_length_c 31.3447
_cell_angle_alpha 90.00
_cell_angle_beta 90.00
_cell_angle_gamma 120.00
_symmetry_space_group_name_H-M 'R -3 m'
_symmetry_Int_Tables_number 166
_symmetry_space_group_name_Hall '-R 3 2"'
loop_
_atom_site_label
_atom_site_fract_x
_atom_site_fract_y
_atom_site_fract_z
Eu1 0.0000 0.0000 0.0000
Dy1 0.0000 0.0000 0.1130
As1 0.0000 0.0000 0.5000
```